[1]
Diffraction record for NdMg16Al12. The powder XRD pattern is computed, not measured: it uses a cell relaxed with GGA-PBE and a wavelength of 1.5418 Å.

Structural model:
```
data_NdMg16Al12
_chemical_formula_sum 'Nd1 Mg16 Al12'
_cell_length_a 12.3969
_cell_length_b 12.3969
_cell_length_c 8.7659
_cell_angle_alpha 90.00
_cell_angle_beta 90.00
_cell_angle_gamma 120.00
_space_group_name_H-M_alt 'P 1'
_space_group_IT_number 1
_space_group_name_Hall 'P 1'
loop_
_atom_site_label
_atom_site_type_symbol
_atom_site_fract_x
_atom_site_fract_y
_atom_site_fract_z
Nd1 Nd 0.0000 0.0000 0.0000
Mg1 Mg 0.0231 0.3170 0.3700
Mg2 Mg 0.0231 0.6300 0.6830
Mg3 Mg 0.2414 0.2414 0.0905
Mg4 Mg 0.2414 0.9095 0.7586
Mg5 Mg 0.2821 0.6246 0.3754
Mg6 Mg 0.3170 0.0231 0.3700
Mg7 Mg 0.3170 0.6300 0.9769
Mg8 Mg 0.3457 0.9439 0.0561
Mg9 Mg 0.6246 0.2821 0.3754
Mg10 Mg 0.6248 0.6248 0.3752
Mg11 Mg 0.6246 0.6246 0.7179
Mg12 Mg 0.6300 0.0231 0.6830
Mg13 Mg 0.6300 0.3170 0.9769
Mg14 Mg 0.9095 0.2414 0.7586
Mg15 Mg 0.9439 0.3457 0.0561
Mg16 Mg 0.9439 0.9439 0.6543
Al1 Al 0.2586 0.2586 0.5579
Al2 Al 0.2586 0.4421 0.7414
Al3 Al 0.4394 0.4394 0.1966
Al4 Al 0.4394 0.8034 0.5606
Al5 Al 0.4421 0.2586 0.7414
Al6 Al 0.6271 0.8135 0.0069
Al7 Al 0.6271 0.9931 0.1865
Al8 Al 0.8034 0.4394 0.5606
Al9 Al 0.8135 0.6271 0.0069
Al10 Al 0.8135 0.9931 0.3729
Al11 Al 0.9931 0.6271 0.1865
Al12 Al 0.9931 0.8135 0.3729
```

Peak list (12 most intense, 2θ from 10° to 90°, sorted by position)
d [Å]	I (rel.)
6.790	28
4.058	21
3.682	65
3.579	100
2.978	26
2.922	36
2.819	20
2.463	26
2.263	26
2.147	20
2.066	21
1.928	19

[2]
Diffraction record for Nd2MgGe2. The powder XRD pattern is computed, not measured: it uses a cell relaxed with GGA-PBE and a wavelength of 1.5418 Å.

Structural model:
```
data_Nd2MgGe2
_chemical_formula_sum 'Nd4 Mg2 Ge4'
_cell_length_a 7.4748
_cell_length_b 7.4748
_cell_length_c 4.4080
_cell_angle_alpha 90.00
_cell_angle_beta 90.00
_cell_angle_gamma 90.00
_space_group_name_H-M_alt 'P 1'
_space_group_IT_number 1
_space_group_name_Hall 'P 1'
loop_
_atom_site_label
_atom_site_type_symbol
_atom_site_fract_x
_atom_site_fract_y
_atom_site_fract_z
Nd1 Nd 0.1785 0.3215 0.0000
Nd2 Nd 0.3215 0.8215 0.0000
Nd3 Nd 0.6785 0.1785 0.0000
Nd4 Nd 0.8215 0.6785 0.0000
Mg1 Mg 0.0000 0.0000 0.5000
Mg2 Mg 0.5000 0.5000 0.5000
Ge1 Ge 0.1214 0.6214 0.5000
Ge2 Ge 0.3786 0.1214 0.5000
Ge3 Ge 0.6214 0.8786 0.5000
Ge4 Ge 0.8786 0.3786 0.5000
```

Peak list (12 most intense, 2θ from 10° to 90°, sorted by position)
d [Å]	I (rel.)
5.286	17
3.737	14
3.343	9
2.851	29
2.664	100
2.364	18
2.204	17
1.813	12
1.677	16
1.612	11
1.400	10
1.345	12

[3]
Diffraction record for Cu3SO8. The powder XRD pattern is computed, not measured: it uses a cell relaxed with GGA-PBE and a wavelength of 1.5418 Å.

Structural model:
```
data_Cu3SO8
_chemical_formula_sum 'Cu12 S4 O32'
_cell_length_a 7.9947
_cell_length_b 5.9087
_cell_length_c 12.6654
_cell_angle_alpha 90.00
_cell_angle_beta 90.00
_cell_angle_gamma 90.00
_space_group_name_H-M_alt 'P 1'
_space_group_IT_number 1
_space_group_name_Hall 'P 1'
loop_
_atom_site_label
_atom_site_type_symbol
_atom_site_fract_x
_atom_site_fract_y
_atom_site_fract_z
Cu1 Cu 0.0009 0.2500 0.0019
Cu2 Cu 0.2141 0.5031 0.6199
Cu3 Cu 0.2141 0.9969 0.6199
Cu4 Cu 0.2859 0.0031 0.1199
Cu5 Cu 0.2859 0.4969 0.1199
Cu6 Cu 0.4991 0.7500 0.5019
Cu7 Cu 0.5009 0.2500 0.4981
Cu8 Cu 0.7141 0.5031 0.8801
Cu9 Cu 0.7141 0.9969 0.8801
Cu10 Cu 0.7859 0.0031 0.3801
Cu11 Cu 0.7859 0.4969 0.3801
Cu12 Cu 0.9991 0.7500 0.9981
S1 S 0.1204 0.2500 0.3603
S2 S 0.3796 0.7500 0.8603
S3 S 0.6204 0.2500 0.1397
S4 S 0.8796 0.7500 0.6397
O1 O 0.0163 0.0372 0.3458
O2 O 0.0163 0.4628 0.3458
O3 O 0.0553 0.5084 0.0891
O4 O 0.0553 0.9916 0.0891
O5 O 0.1984 0.2500 0.4666
O6 O 0.2140 0.7500 0.5360
O7 O 0.2264 0.2500 0.6994
O8 O 0.2482 0.2500 0.2774
O9 O 0.2518 0.7500 0.7774
O10 O 0.2736 0.7500 0.1994
O11 O 0.2860 0.2500 0.0360
O12 O 0.3016 0.7500 0.9666
O13 O 0.4447 0.0084 0.5891
O14 O 0.4447 0.4916 0.5891
O15 O 0.4837 0.5372 0.8458
O16 O 0.4837 0.9628 0.8458
O17 O 0.5163 0.0372 0.1542
O18 O 0.5163 0.4628 0.1542
O19 O 0.5553 0.5084 0.4109
O20 O 0.5553 0.9916 0.4109
O21 O 0.6984 0.2500 0.0334
O22 O 0.7140 0.7500 0.9640
O23 O 0.7264 0.2500 0.8006
O24 O 0.7482 0.2500 0.2226
O25 O 0.7518 0.7500 0.7226
O26 O 0.7736 0.7500 0.3006
O27 O 0.7860 0.2500 0.4640
O28 O 0.8016 0.7500 0.5334
O29 O 0.9447 0.0084 0.9109
O30 O 0.9447 0.4916 0.9109
O31 O 0.9837 0.5372 0.6542
O32 O 0.9837 0.9628 0.6542
```

Peak list (12 most intense, 2θ from 10° to 90°, sorted by position)
d [Å]	I (rel.)
6.333	32
5.355	16
4.964	100
3.733	62
3.162	20
2.608	37
2.539	60
2.482	15
2.456	16
2.160	47
1.679	15
1.467	20

[4]
Diffraction record for Cu2BrCl. The powder XRD pattern is computed, not measured: it uses a cell relaxed with GGA-PBE and a wavelength of 1.5418 Å.

Structural model:
```
data_Cu2BrCl
_chemical_formula_sum 'Cu2 Br1 Cl1'
_cell_length_a 6.4158
_cell_length_b 6.4158
_cell_length_c 6.4158
_cell_angle_alpha 33.62
_cell_angle_beta 33.62
_cell_angle_gamma 33.62
_space_group_name_H-M_alt 'P 1'
_space_group_IT_number 1
_space_group_name_Hall 'P 1'
loop_
_atom_site_label
_atom_site_type_symbol
_atom_site_fract_x
_atom_site_fract_y
_atom_site_fract_z
Cu1 Cu 0.2484 0.2484 0.2484
Cu2 Cu 0.7516 0.7516 0.7516
Br1 Br 0.0000 0.0000 0.0000
Cl1 Cl 0.5000 0.5000 0.5000
```

Peak list (12 most intense, 2θ from 10° to 90°, sorted by position)
d [Å]	I (rel.)
6.048	6
3.165	6
2.622	100
2.406	3
2.017	2
1.854	68
1.774	2
1.515	17
1.512	6
1.311	10
1.173	14
1.172	14

[5]
Diffraction record for Al2CuO4. The powder XRD pattern is computed, not measured: it uses a cell relaxed with GGA-PBE and a wavelength of 1.5418 Å.

Structural model:
```
data_Al2CuO4
_chemical_formula_sum 'Al4 Cu2 O8'
_cell_length_a 5.8222
_cell_length_b 5.8222
_cell_length_c 5.8222
_cell_angle_alpha 122.65
_cell_angle_beta 121.64
_cell_angle_gamma 86.32
_space_group_name_H-M_alt 'P 1'
_space_group_IT_number 1
_space_group_name_Hall 'P 1'
loop_
_atom_site_label
_atom_site_type_symbol
_atom_site_fract_x
_atom_site_fract_y
_atom_site_fract_z
Al1 Al 0.0000 0.0000 0.0000
Al2 Al 0.3878 0.6378 0.7500
Al3 Al 0.5000 0.0000 0.5000
Al4 Al 0.6122 0.3622 0.2500
Cu1 Cu 0.0000 0.0000 0.5000
Cu2 Cu 0.0000 0.5000 0.0000
O1 O 0.2274 0.2308 0.9966
O2 O 0.2658 0.7692 0.4966
O3 O 0.2665 0.2506 0.4841
O4 O 0.2665 0.7824 0.0159
O5 O 0.7335 0.2176 0.9841
O6 O 0.7335 0.7494 0.5159
O7 O 0.7342 0.2308 0.5034
O8 O 0.7726 0.7692 0.0034
```

Peak list (12 most intense, 2θ from 10° to 90°, sorted by position)
d [Å]	I (rel.)
4.720	77
4.247	31
2.839	26
2.534	70
2.425	28
2.404	100
2.123	38
1.991	64
1.877	26
1.627	19
1.541	25
1.452	74

[6]
Diffraction record for TmCdAu. The powder XRD pattern is computed, not measured: it uses a cell relaxed with GGA-PBE and a wavelength of 1.5418 Å.

Structural model:
```
data_TmCdAu
_chemical_formula_sum 'Tm3 Cd3 Au3'
_cell_length_a 7.8713
_cell_length_b 7.8713
_cell_length_c 3.7610
_cell_angle_alpha 90.00
_cell_angle_beta 90.00
_cell_angle_gamma 120.00
_space_group_name_H-M_alt 'P 1'
_space_group_IT_number 1
_space_group_name_Hall 'P 1'
loop_
_atom_site_label
_atom_site_type_symbol
_atom_site_fract_x
_atom_site_fract_y
_atom_site_fract_z
Tm1 Tm 0.0000 0.5997 0.0000
Tm2 Tm 0.4003 0.4003 0.0000
Tm3 Tm 0.5997 0.0000 0.0000
Cd1 Cd 0.0000 0.2695 0.5000
Cd2 Cd 0.2695 0.0000 0.5000
Cd3 Cd 0.7305 0.7305 0.5000
Au1 Au 0.0000 0.0000 0.0000
Au2 Au 0.3333 0.6667 0.5000
Au3 Au 0.6667 0.3333 0.5000
```

Peak list (12 most intense, 2θ from 10° to 90°, sorted by position)
d [Å]	I (rel.)
3.936	16
3.293	14
2.719	92
2.576	32
2.526	100
2.272	69
2.126	41
1.880	24
1.519	12
1.449	33
1.444	41
1.282	17

[7]
Diffraction record for DyC2. The powder XRD pattern is computed, not measured: it uses a cell relaxed with GGA-PBE and a wavelength of 1.5418 Å.

Structural model:
```
data_DyC2
_chemical_formula_sum 'Dy1 C2'
_cell_length_a 4.0487
_cell_length_b 4.0487
_cell_length_c 4.0487
_cell_angle_alpha 126.09
_cell_angle_beta 126.09
_cell_angle_gamma 79.74
_space_group_name_H-M_alt 'P 1'
_space_group_IT_number 1
_space_group_name_Hall 'P 1'
loop_
_atom_site_label
_atom_site_type_symbol
_atom_site_fract_x
_atom_site_fract_y
_atom_site_fract_z
Dy1 Dy 0.0000 0.0000 0.0000
C1 C 0.3951 0.3951 0.0000
C2 C 0.6049 0.6049 0.0000
```

Peak list (12 most intense, 2θ from 10° to 90°, sorted by position)
d [Å]	I (rel.)
3.161	100
3.107	33
2.596	48
1.992	37
1.835	17
1.804	28
1.587	29
1.580	18
1.333	8
1.287	18
1.177	8
1.161	7

[8]
Diffraction record for TbFe2Si2. The powder XRD pattern is computed, not measured: it uses a cell relaxed with GGA-PBE and a wavelength of 1.5418 Å.

Structural model:
```
data_TbFe2Si2
_chemical_formula_sum 'Tb1 Fe2 Si2'
_cell_length_a 5.5376
_cell_length_b 5.5376
_cell_length_c 5.5376
_cell_angle_alpha 137.94
_cell_angle_beta 137.94
_cell_angle_gamma 60.99
_space_group_name_H-M_alt 'P 1'
_space_group_IT_number 1
_space_group_name_Hall 'P 1'
loop_
_atom_site_label
_atom_site_type_symbol
_atom_site_fract_x
_atom_site_fract_y
_atom_site_fract_z
Tb1 Tb 0.0000 0.0000 0.0000
Fe1 Fe 0.2500 0.7500 0.5000
Fe2 Fe 0.7500 0.2500 0.5000
Si1 Si 0.3648 0.3648 0.0000
Si2 Si 0.6352 0.6352 0.0000
```

Peak list (12 most intense, 2θ from 10° to 90°, sorted by position)
d [Å]	I (rel.)
3.669	58
2.483	63
2.421	100
2.386	16
1.987	42
1.747	15
1.721	16
1.552	29
1.527	15
1.405	13
1.384	20
1.215	21